# Li3HI4
Calculated PXRD pattern, Cu Kα (λ = 1.5418 Å). Input: a DFT-relaxed cell (GGA-PBE, Alexandria).

The 10 most intense peaks (10° ≤ 2θ ≤ 80°), in order of rising 2θ:
2θ = 24.01°, 3.707 Å, I = 100
2θ = 24.69°, 3.606 Å, I = 31
2θ = 27.99°, 3.188 Å, I = 66
2θ = 39.56°, 2.278 Å, I = 29
2θ = 40.44°, 2.231 Å, I = 25
2θ = 46.81°, 1.941 Å, I = 16
2θ = 47.19°, 1.926 Å, I = 32
2θ = 47.96°, 1.897 Å, I = 14
2θ = 49.16°, 1.853 Å, I = 14
2θ = 64.84°, 1.438 Å, I = 18

Cell and atoms:
Cell lengths 14.661, 14.661, 14.661 Å; angles 17.88, 17.88, 17.88 degrees
Element x y z (fractional)
1 Li 0.000 0.000 0.000
2 Li 0.174 0.174 0.174
3 Li 0.423 0.423 0.423
4 H 0.645 0.645 0.645
5 I 0.107 0.107 0.107
6 I 0.355 0.355 0.355
7 I 0.607 0.607 0.607
8 I 0.861 0.861 0.861